Entry 1:
Diffraction record for MgZn2. The PXRD pattern is calculated, not measured: it uses a PBE-relaxed structure and a wavelength of 1.5418 Å.
Lines closer than 0.1° are merged.

The 10 most intense peaks (2θ from 10° to 90°), most intense first:
2theta	Rel. int.	h k l
40.4	100	1 3 1
41.8	45	0 6 1
38.6	38	0 0 2
35.3	25	1 3 0
22.6	24	0 2 1
71.0	17	1 3 3
78.5	17	1 9 2
65.3	15	1 9 0
53.3	14	1 3 2
77.8	13	2 6 1

```
data_MgZn2
_cell_length_a 2.9806
_cell_length_b 14.6439
_cell_length_c 4.6697
_cell_angle_alpha 90.00
_cell_angle_beta 90.00
_cell_angle_gamma 90.00
_space_group_name_H-M_alt 'C m c m'
_space_group_IT_number 63
_space_group_name_Hall '-C 2c 2'
loop_
_atom_site_label
_atom_site_fract_x
_atom_site_fract_y
_atom_site_fract_z
_atom_site_occupancy
Mg1 0.0000 0.1102 0.2500 1
Zn1 0.0000 0.2207 0.7500 1
Zn2 0.0000 0.4433 0.2500 1
```

Entry 2:
Diffraction record for VCrP2. The PXRD pattern is calculated, not measured: it uses a PBE-relaxed structure and a wavelength of 1.5418 Å.
Lines closer than 0.1° are merged.

The 10 most intense peaks (2θ from 10° to 90°), most intense first:
2theta	Rel. int.	h k l
44.9	100	0 2 2
47.0	85	1 1 2
32.3	54	1 1 0
36.4	36	1 1 1
48.0	32	0 3 1
54.1	24	1 3 0
59.3	21	2 0 0
53.0	18	0 1 3
33.9	18	0 2 1
33.2	17	0 0 2

```
data_VCrP2
_cell_length_a 3.1154
_cell_length_b 6.0656
_cell_length_c 5.4047
_cell_angle_alpha 90.00
_cell_angle_beta 90.00
_cell_angle_gamma 90.00
_space_group_name_H-M_alt 'P m c 21'
_space_group_IT_number 26
loop_
_space_group_symop_operation_xyz
'x,y,z'
'-x,-y,z+1/2'
'-x,y,z'
'x,-y,z+1/2'
loop_
_atom_site_label
_atom_site_fract_x
_atom_site_fract_y
_atom_site_fract_z
_atom_site_occupancy
V1 0.0000 0.0583 0.0000 1
Cr1 0.5000 0.4393 0.9859 1
P1 0.0000 0.3234 0.6837 1
P2 0.5000 0.1930 0.3091 1
```